Theoretical powder diffractogram of CaNi2P4O14 for CuKα, from a structure optimized by DFT (PBE+U).
Lines closer than 0.1° are merged.

Crystal structure
Cell: 6.446 6.602 6.787 Å, 65.83 87.59 83.09°
Fractional coordinates of all 21 atoms:
Ca (0.000, 0.000, 0.000)
Ni (0.219, 0.176, 0.391)
Ni (0.516, 0.376, 0.965)
P (0.005, 0.500, 0.935)
P (0.249, 0.630, 0.520)
P (0.492, 0.916, 0.837)
P (0.729, 0.052, 0.421)
O (0.078, 0.649, 0.693)
O (0.187, 0.474, 0.425)
O (0.196, 0.323, 0.047)
O (0.252, 0.870, 0.353)
O (0.279, 0.031, 0.728)
O (0.457, 0.523, 0.642)
O (0.472, 0.677, 0.995)
O (0.536, 0.212, 0.301)
O (0.586, 0.058, 0.933)
O (0.648, 0.893, 0.654)
O (0.806, 0.897, 0.311)
O (0.833, 0.367, 0.916)
O (0.907, 0.165, 0.457)
O (0.941, 0.661, 0.035)

Most intense lines, 2θ from 10° to 90°, by angle:
| 2θ (°) | I/Imax |
| --- | --- |
| 15.85 | 100 |
| 27.31 | 70 |
| 28.84 | 80 |
| 29.18 | 97 |
| 31.37 | 79 |
| 31.58 | 86 |

Theoretical powder diffractogram of CaNi2P2O9 for CuKα, from a structure optimized by DFT (PBE+U).
Lines closer than 0.1° are merged.

Crystal structure
Cell: 14.260 6.466 7.319 Å, 90.00 90.00 90.00°
Fractional coordinates of all 56 atoms:
Ca (0.220, 0.250, 0.121)
Ca (0.280, 0.750, 0.621)
Ca (0.720, 0.250, 0.379)
Ca (0.780, 0.750, 0.879)
Ni (0.000, 0.000, 0.000)
Ni (0.000, 0.500, 0.000)
Ni (0.123, 0.250, 0.650)
Ni (0.377, 0.750, 0.150)
Ni (0.500, 0.000, 0.500)
Ni (0.500, 0.500, 0.500)
Ni (0.623, 0.250, 0.850)
Ni (0.877, 0.750, 0.350)
P (0.065, 0.750, 0.641)
P (0.192, 0.750, 0.113)
P (0.308, 0.250, 0.613)
P (0.435, 0.250, 0.141)
P (0.565, 0.750, 0.859)
P (0.692, 0.750, 0.387)
P (0.808, 0.250, 0.887)
P (0.935, 0.250, 0.359)
O (0.009, 0.250, 0.506)
O (0.013, 0.750, 0.833)
O (0.053, 0.250, 0.869)
O (0.132, 0.552, 0.105)
O (0.132, 0.948, 0.105)
O (0.133, 0.563, 0.638)
O (0.133, 0.937, 0.638)
O (0.229, 0.250, 0.463)
O (0.247, 0.250, 0.791)
O (0.253, 0.750, 0.291)
O (0.271, 0.750, 0.963)
O (0.367, 0.063, 0.138)
O (0.367, 0.437, 0.138)
O (0.368, 0.052, 0.605)
O (0.368, 0.448, 0.605)
O (0.447, 0.750, 0.369)
O (0.487, 0.250, 0.333)
O (0.491, 0.750, 0.006)
O (0.509, 0.250, 0.994)
O (0.513, 0.750, 0.667)
O (0.553, 0.250, 0.631)
O (0.632, 0.552, 0.395)
O (0.632, 0.948, 0.395)
O (0.633, 0.563, 0.862)
O (0.633, 0.937, 0.862)
O (0.729, 0.250, 0.037)
O (0.747, 0.250, 0.709)
O (0.753, 0.750, 0.209)
O (0.771, 0.750, 0.537)
O (0.867, 0.063, 0.362)
O (0.867, 0.437, 0.362)
O (0.868, 0.052, 0.895)
O (0.868, 0.448, 0.895)
O (0.947, 0.750, 0.131)
O (0.987, 0.250, 0.167)
O (0.991, 0.750, 0.494)

Most intense lines, 2θ from 10° to 90°, by angle:
| 2θ (°) | I/Imax |
| --- | --- |
| 17.36 | 39 |
| 25.12 | 100 |
| 27.59 | 33 |
| 30.88 | 49 |
| 33.73 | 31 |
| 57.28 | 27 |

Theoretical powder diffractogram of CaNiP2O7 for CuKα, from a structure optimized by DFT (PBE+U).
Lines closer than 0.1° are merged.

Crystal structure
Cell: 7.298 8.763 9.129 Å, 90.00 116.63 90.00°
Fractional coordinates of all 44 atoms:
Ca (0.229, 0.046, 0.381)
Ca (0.229, 0.454, 0.881)
Ca (0.771, 0.546, 0.119)
Ca (0.771, 0.954, 0.619)
Ni (0.276, 0.075, 0.885)
Ni (0.276, 0.425, 0.385)
Ni (0.724, 0.575, 0.615)
Ni (0.724, 0.925, 0.115)
P (0.024, 0.750, 0.464)
P (0.024, 0.750, 0.964)
P (0.452, 0.723, 0.264)
P (0.452, 0.777, 0.764)
P (0.548, 0.223, 0.236)
P (0.548, 0.277, 0.736)
P (0.976, 0.250, 0.036)
P (0.976, 0.250, 0.536)
O (0.042, 0.108, 0.650)
O (0.042, 0.392, 0.150)
O (0.061, 0.606, 0.388)
O (0.061, 0.894, 0.888)
O (0.116, 0.230, 0.954)
O (0.116, 0.270, 0.454)
O (0.239, 0.683, 0.105)
O (0.239, 0.817, 0.605)
O (0.394, 0.234, 0.307)
O (0.394, 0.266, 0.807)
O (0.436, 0.632, 0.849)
O (0.436, 0.868, 0.349)
O (0.485, 0.579, 0.372)
O (0.485, 0.921, 0.872)
O (0.515, 0.079, 0.128)
O (0.515, 0.421, 0.628)
O (0.564, 0.132, 0.651)
O (0.564, 0.368, 0.151)
O (0.606, 0.734, 0.193)
O (0.606, 0.766, 0.693)
O (0.761, 0.183, 0.395)
O (0.761, 0.317, 0.895)
O (0.884, 0.730, 0.546)
O (0.884, 0.770, 0.046)
O (0.939, 0.106, 0.112)
O (0.939, 0.394, 0.612)
O (0.958, 0.608, 0.850)
O (0.958, 0.892, 0.350)

Most intense lines, 2θ from 10° to 90°, by angle:
| 2θ (°) | I/Imax |
| --- | --- |
| 28.18 | 57 |
| 28.50 | 100 |
| 30.61 | 75 |
| 33.62 | 23 |
| 34.27 | 31 |
| 40.74 | 28 |